# 1
This entry pairs a crystal structure of MnPO3 with its computed PXRD pattern. Radiation: copper Kα. Structure: the GGA+U geometry in Alexandria.
Lines closer than 0.1° are merged.

Principal peaks in the range 10 to 80 degrees two-theta, in order of rising 2θ:
hkl 4 0 0, 2θ 30.1, intensity 90
hkl 0 0 2, 2θ 30.7, intensity 24
hkl 1 1 -1, 2θ 31.2, intensity 44
hkl 2 0 -2, 2θ 32.1, intensity 82
hkl 1 1 1, 2θ 32.4, intensity 100
hkl 3 1 0, 2θ 35.2, intensity 26
hkl 3 1 -1, 2θ 37.0, intensity 31
hkl 1 1 2, 2θ 42.8, intensity 24
hkl 5 1 1, 2θ 51.6, intensity 55
hkl 0 2 0, 2θ 55.1, intensity 32

Cell and atoms:
a b c (Å): 12.018 3.334 5.899
angles (deg): 90.00 98.89 90.00
Space group C2/m (No. 12)
Unique sites:
Mn (0.132, 0.000, 0.331) (multiplicity 4)
P (0.116, 0.500, 0.838) (multiplicity 4)
O (0.013, 0.500, 0.266) (multiplicity 4)
O (0.137, 0.000, 0.948) (multiplicity 4)
O (0.183, 0.500, 0.624) (multiplicity 4)


# 2
This entry pairs a crystal structure of Mn7P6O24 with its computed PXRD pattern. Radiation: copper Kα. Structure: the GGA+U geometry in Alexandria.
Lines closer than 0.1° are merged.

Principal peaks in the range 10 to 80 degrees two-theta, in order of rising 2θ:
hkl 0 1 -1, 2θ 13.1, intensity 32
hkl 0 2 0, 2θ 22.3, intensity 26
hkl 0 2 1, 2θ 27.0, intensity 100
hkl 2 0 -1, 2θ 28.6, intensity 30
hkl 2 -1 0, 2θ 29.4, intensity 26
hkl 0 1 -3, 2θ 30.7, intensity 62
hkl -2 1 2, 2θ 30.8, intensity 21
hkl 2 1 -2, 2θ 33.6, intensity 27
hkl -3 1 2, 2θ 42.8, intensity 19
hkl 3 -3 2, 2θ 57.7, intensity 23

Cell and atoms:
a b c (Å): 6.423 8.485 9.279
angles (deg): 99.31 108.63 103.24
Space group P-1 (No. 2)
Unique sites:
Mn (0.000, 0.000, 0.000) (multiplicity 1)
Mn (0.070, 0.770, 0.550) (multiplicity 2)
Mn (0.266, 0.794, 0.252) (multiplicity 2)
Mn (0.365, 0.442, 0.107) (multiplicity 2)
P (0.110, 0.616, 0.855) (multiplicity 2)
P (0.241, 0.170, 0.776) (multiplicity 2)
P (0.388, 0.214, 0.362) (multiplicity 2)
O (0.021, 0.210, 0.669) (multiplicity 2)
O (0.107, 0.625, 0.691) (multiplicity 2)
O (0.115, 0.518, 0.162) (multiplicity 2)
O (0.143, 0.780, 0.968) (multiplicity 2)
O (0.230, 0.201, 0.944) (multiplicity 2)
O (0.231, 0.990, 0.718) (multiplicity 2)
O (0.237, 0.240, 0.459) (multiplicity 2)
O (0.271, 0.046, 0.234) (multiplicity 2)
O (0.311, 0.537, 0.923) (multiplicity 2)
O (0.374, 0.785, 0.517) (multiplicity 2)
O (0.439, 0.361, 0.288) (multiplicity 2)
O (0.462, 0.290, 0.776) (multiplicity 2)


# 3
This entry pairs a crystal structure of MnPO4 with its computed PXRD pattern. Radiation: copper Kα. Structure: the GGA+U geometry in Alexandria.
Lines closer than 0.1° are merged.

Principal peaks in the range 10 to 80 degrees two-theta, in order of rising 2θ:
hkl 0 1 2, 2θ 20.2, intensity 39
hkl 2 1 1, 2θ 20.9, intensity 100
hkl 3 0 0, 2θ 21.2, intensity 28
hkl 2 0 2, 2θ 23.6, intensity 11
hkl 2 2 0, 2θ 24.5, intensity 41
hkl 1 1 3, 2θ 31.1, intensity 25
hkl 1 4 0, 2θ 32.6, intensity 23
hkl 2 2 3, 2θ 38.0, intensity 19
hkl 2 4 1, 2θ 39.1, intensity 8
hkl 6 -3 3, 2θ 47.5, intensity 9

Cell and atoms:
a b c (Å): 14.5222 14.5222 9.3896
angles (deg): 90.00 90.00 120.00
Space group R3 (No. 146, hexagonal axes)
Unique sites:
Mn (0.1433, 0.4589, 0.0000) (multiplicity 9)
Mn (0.1637, 0.7018, 0.5221) (multiplicity 9)
P (0.0147, 0.8153, 0.5086) (multiplicity 9)
P (0.0232, 0.2044, 0.0115) (multiplicity 9)
O (0.0137, 0.6136, 0.1744) (multiplicity 9)
O (0.0194, 0.3973, 0.6216) (multiplicity 9)
O (0.0666, 0.2137, 0.1651) (multiplicity 9)
O (0.0710, 0.1561, 0.9096) (multiplicity 9)
O (0.0723, 0.1778, 0.4686) (multiplicity 9)
O (0.1773, 0.1507, 0.6569) (multiplicity 9)
O (0.1840, 0.7441, 0.0667) (multiplicity 9)
O (0.2049, 0.4385, 0.6798) (multiplicity 9)


# 4
This entry pairs a crystal structure of Mn2P5O16 with its computed PXRD pattern. Radiation: copper Kα. Structure: the GGA+U geometry in Alexandria.
Lines closer than 0.1° are merged.

Principal peaks in the range 10 to 80 degrees two-theta, in order of rising 2θ:
hkl 0 1 1, 2θ 14.0, intensity 90
hkl 0 1 2, 2θ 16.1, intensity 29
hkl 0 0 4, 2θ 18.5, intensity 63
hkl 1 0 -2, 2θ 20.0, intensity 15
hkl 1 1 1, 2θ 22.6, intensity 100
hkl 1 1 -2, 2θ 24.0, intensity 31
hkl 0 0 6, 2θ 27.9, intensity 27
hkl 1 1 -5, 2θ 32.3, intensity 19
hkl 1 2 -1, 2θ 32.5, intensity 37
hkl 1 2 2, 2θ 33.5, intensity 16

Cell and atoms:
a b c (Å): 5.004 6.714 19.156
angles (deg): 90.00 90.05 90.00
Space group P2/c (No. 13)
Unique sites:
Mn (0.248, 0.177, 0.406) (multiplicity 4)
P (0.241, 0.458, 0.131) (multiplicity 4)
P (0.258, 0.127, 0.576) (multiplicity 4)
P (0.500, 0.257, 0.250) (multiplicity 2)
O (0.053, 0.420, 0.383) (multiplicity 4)
O (0.074, 0.022, 0.113) (multiplicity 4)
O (0.153, 0.214, 0.509) (multiplicity 4)
O (0.281, 0.309, 0.633) (multiplicity 4)
O (0.299, 0.409, 0.212) (multiplicity 4)
O (0.351, 0.137, 0.303) (multiplicity 4)
O (0.438, 0.355, 0.084) (multiplicity 4)
O (0.451, 0.055, 0.929) (multiplicity 4)


Which formula does entry 2 have?
Mn7P6O24